Computed PXRD pattern
Compound: Sn7Pd3
Radiation: a wavelength of 1.5418 Å
Structure: a PBE-relaxed structure

Largest 10 diffraction maxima, by angle, 15° ≤ 2θ ≤ 90°:
2θ/deg, d [Å], I_rel, (hkl)
29.0, 3.081, 26, 3 1 0
31.8, 2.813, 49, 2 2 2
34.4, 2.604, 45, 3 2 1
39.2, 2.297, 100, 3 3 0
45.6, 1.989, 21, 4 2 2
56.7, 1.624, 21, 6 0 0
58.4, 1.581, 15, 6 1 1
61.7, 1.503, 17, 5 4 1
71.1, 1.326, 43, 6 3 3
80.0, 1.199, 18, 7 4 1

```
data_Sn7Pd3
_chemical_formula_sum 'Sn28 Pd12'
_space_group_name_H-M_alt 'I m -3 m'
_space_group_IT_number 229
_space_group_name_Hall '-I 4 2 3'
_cell_length_a 9.7435
_cell_length_b 9.7435
_cell_length_c 9.7435
_cell_angle_alpha 90.00
_cell_angle_beta 90.00
_cell_angle_gamma 90.00
loop_
_atom_site_label
_atom_site_type_symbol
_atom_site_fract_x
_atom_site_fract_y
_atom_site_fract_z
_atom_site_occupancy
Sn1 Sn 0.0000 0.2500 0.5000 1
Sn2 Sn 0.1641 0.1641 0.1641 1
Pd1 Pd 0.0000 0.0000 0.3379 1
```